(1)
Tb3SN2: theoretical powder diffractogram (CuKα), based on a PBE-relaxed structure.

a b c (Å): 3.5835 3.5835 9.1268
angles (deg): 90.00 90.00 120.00
Space group P-3m1 (No. 164)
Inequivalent atoms, fractional coordinates:
Tb 0.0000 0.0000 0.0000 (multiplicity 1)
Tb 0.3333 0.6667 0.2960 (multiplicity 2)
S 0.0000 0.0000 0.5000 (multiplicity 1)
N 0.3333 0.6667 0.8400 (multiplicity 2)

Main lines, by angle (10 to 90 degrees two-theta):
2θ/deg, I (rel.)
29.36, 21.6
30.42, 88.5
34.96, 100.0
41.57, 14.8
49.59, 24.0
50.97, 34.9
58.68, 13.4
59.91, 18.7
63.30, 17.3
85.47, 15.3


(2)
LaInHgTe3: theoretical powder diffractogram (CuKα), based on a PBE-relaxed structure.

a b c (Å): 12.699 4.731 13.365
angles (deg): 90.00 90.00 90.00
Space group Pnma (No. 62)
Inequivalent atoms, fractional coordinates:
La 0.022 0.250 0.192 (multiplicity 4)
In 0.184 0.250 0.490 (multiplicity 4)
Hg 0.245 0.750 0.294 (multiplicity 4)
Te 0.033 0.750 0.363 (multiplicity 4)
Te 0.090 0.250 0.938 (multiplicity 4)
Te 0.216 0.750 0.674 (multiplicity 4)

Main lines, by angle (10 to 90 degrees two-theta):
2θ/deg, I (rel.)
13.25, 23.2
27.03, 26.7
28.11, 26.5
28.40, 100.0
30.96, 49.0
31.19, 38.1
31.36, 34.6
33.59, 31.4
38.04, 52.6
49.99, 24.9


(3)
ZnAu15: theoretical powder diffractogram (CuKα), based on a PBE-relaxed structure.

a b c (Å): 4.104 4.105 47.551
angles (deg): 90.00 90.00 90.00
Space group Pmma (No. 51)
Inequivalent atoms, fractional coordinates:
Zn 0.250 0.000 0.167 (multiplicity 2)
Au 0.250 0.000 0.254 (multiplicity 2)
Au 0.250 0.000 0.343 (multiplicity 2)
Au 0.250 0.000 0.433 (multiplicity 2)
Au 0.250 0.000 0.522 (multiplicity 2)
Au 0.250 0.000 0.612 (multiplicity 2)
Au 0.250 0.000 0.702 (multiplicity 2)
Au 0.250 0.000 0.792 (multiplicity 2)
Au 0.250 0.500 0.208 (multiplicity 2)
Au 0.250 0.500 0.298 (multiplicity 2)
Au 0.250 0.500 0.388 (multiplicity 2)
Au 0.250 0.500 0.478 (multiplicity 2)
Au 0.250 0.500 0.567 (multiplicity 2)
Au 0.250 0.500 0.657 (multiplicity 2)
Au 0.250 0.500 0.747 (multiplicity 2)
Au 0.250 0.500 0.835 (multiplicity 2)

Main lines, by angle (10 to 90 degrees two-theta):
2θ/deg, I (rel.)
37.32, 100.0
38.45, 27.0
41.79, 16.2
44.14, 42.3
62.40, 20.0
64.18, 10.9
73.36, 10.3
75.45, 10.0
76.65, 25.5
79.57, 10.3


(4)
AlPtBr6: theoretical powder diffractogram (CuKα), based on a PBE-relaxed structure.

a b c (Å): 10.051 10.051 10.051
angles (deg): 90.00 90.00 90.00
Space group F-43m (No. 216)
Inequivalent atoms, fractional coordinates:
Al 0.000 0.000 0.000 (multiplicity 4)
Pt 0.250 0.250 0.750 (multiplicity 4)
Br 0.004 0.250 0.750 (multiplicity 24)

Main lines, by angle (10 to 90 degrees two-theta):
2θ/deg, I (rel.)
15.27, 70.6
17.65, 100.0
29.48, 38.2
30.82, 34.8
35.73, 80.8
40.12, 50.1
51.43, 56.1
54.80, 25.2
64.20, 19.1
86.64, 25.9


(5)
Tm3In3PdPt: theoretical powder diffractogram (CuKα), based on a PBE-relaxed structure.

a b c (Å): 7.6541 7.6541 3.6064
angles (deg): 90.00 90.00 120.00
Space group P-6 (No. 174)
Inequivalent atoms, fractional coordinates:
Tm 0.0062 0.5837 0.0000 (multiplicity 3)
In 0.2345 0.0038 0.5000 (multiplicity 3)
Pd 0.6667 0.3333 0.5000 (multiplicity 1)
Pt 0.3333 0.6667 0.5000 (multiplicity 1)

Main lines, by angle (10 to 90 degrees two-theta):
2θ/deg, I (rel.)
13.36, 25.5
34.16, 100.0
35.84, 72.7
36.83, 70.4
40.84, 17.0
49.58, 17.5
56.16, 26.1
63.57, 26.9
66.76, 18.4
70.09, 19.9


(6)
Tb7Co6Sn23: theoretical powder diffractogram (CuKα), based on a PBE-relaxed structure.

a b c (Å): 10.1996 10.1996 10.7303
angles (deg): 90.00 90.00 120.00
Space group P-3m1 (No. 164)
Inequivalent atoms, fractional coordinates:
Tb 0.0000 0.0000 0.0000 (multiplicity 1)
Tb 0.0577 0.5289 0.2937 (multiplicity 6)
Co 0.1970 0.3940 0.1478 (multiplicity 6)
Sn 0.0000 0.0000 0.5000 (multiplicity 1)
Sn 0.0000 0.3468 0.0000 (multiplicity 6)
Sn 0.1065 0.2131 0.3047 (multiplicity 6)
Sn 0.2291 0.4582 0.5548 (multiplicity 6)
Sn 0.3333 0.6667 0.0941 (multiplicity 2)
Sn 0.3333 0.6667 0.7914 (multiplicity 2)

Main lines, by angle (10 to 90 degrees two-theta):
2θ/deg, I (rel.)
21.76, 13.8
31.53, 100.0
32.20, 24.3
34.75, 45.8
34.96, 11.7
36.83, 16.3
44.84, 9.2
52.79, 12.0
53.94, 22.3
56.95, 10.8


(7)
Dy2Y2CI2Br2Cl: theoretical powder diffractogram (CuKα), based on a PBE-relaxed structure.

a b c (Å): 18.611 3.842 8.002
angles (deg): 90.00 102.09 90.00
Space group C2/m (No. 12)
Inequivalent atoms, fractional coordinates:
Dy 0.001 0.000 0.294 (multiplicity 4)
Y 0.132 0.500 0.571 (multiplicity 4)
C 0.000 0.500 0.500 (multiplicity 2)
I 0.171 0.000 0.306 (multiplicity 4)
Br 0.157 0.000 0.841 (multiplicity 4)
Cl 0.000 0.500 0.000 (multiplicity 2)

Main lines, by angle (10 to 90 degrees two-theta):
2θ/deg, I (rel.)
11.31, 37.1
22.75, 28.7
23.67, 34.8
29.45, 53.0
32.30, 100.0
33.92, 38.5
44.18, 31.3
44.36, 26.3
47.32, 19.4
56.72, 18.7


(8)
InCo3SnS2: theoretical powder diffractogram (CuKα), based on a PBE-relaxed structure.

a b c (Å): 5.3689 5.3689 13.2681
angles (deg): 90.00 90.00 120.00
Space group R-3m (No. 166, hexagonal axes)
Inequivalent atoms, fractional coordinates:
In 0.0000 0.0000 0.0000 (multiplicity 3)
Co 0.0000 0.5000 0.0000 (multiplicity 9)
Sn 0.0000 0.0000 0.5000 (multiplicity 3)
S 0.0000 0.0000 0.2213 (multiplicity 6)

Main lines, by angle (10 to 90 degrees two-theta):
2θ/deg, I (rel.)
20.08, 33.8
23.36, 36.5
33.18, 65.0
33.38, 73.6
39.32, 45.5
40.81, 37.2
41.14, 93.3
47.77, 100.0
69.64, 26.2
70.11, 32.5